(1)
Diffraction record for Y2Ga3Pt5. The XRD peak list is calculated, not measured: it uses a GGA-PBE-relaxed structure and Cu Kα, 1.54184 Å.
Peak positions follow from Bragg's law for the DFT cell and can differ from measured ones.

Crystal structure
Cell: 4.1712 25.0206 6.8337 Å, 90.00 90.00 90.00°
Space group Cmc2_1 (No. 36)
Unique sites:
Y1 0.0000 0.0260 0.0000
Y2 0.0000 0.3239 0.9557
Ga1 0.0000 0.1250 0.7670
Ga2 0.0000 0.2839 0.4093
Ga3 0.0000 0.4577 0.8111
Pt1 0.0000 0.0976 0.3612
Pt2 0.0000 0.1955 0.1450
Pt3 0.0000 0.2259 0.7083
Pt4 0.0000 0.3831 0.5414
Pt5 0.0000 0.4441 0.1823

Top 6 peaks for 2θ from 10° to 90°, by intensity:
Position (°2θ)  Rel. int.  hkl
35.6  100  1 7 1
38.5  46  1 5 2
43.4  39  2 0 0
45.5  18  0 12 1
47.5  17  1 9 2
27.2  15  1 3 1

=====

(2)
Diffraction record for Ce2Dy2Pt3. The XRD peak list is calculated, not measured: it uses a GGA-PBE-relaxed structure and Cu Kα, 1.54184 Å.
Peak positions follow from Bragg's law for the DFT cell and can differ from measured ones.

Crystal structure
Cell: 8.8035 8.8035 8.8035 Å, 90.00 90.00 90.00°
Space group I2_13 (No. 199)
Unique sites:
Ce1 0.1891 0.1891 0.1891
Dy1 0.0628 0.4372 0.5628
Pt1 0.0000 0.2500 0.8674

Top 6 peaks for 2θ from 10° to 90°, by intensity:
Position (°2θ)  Rel. int.  hkl
32.2  100  3 0 1
38.3  54  3 2 1
65.3  26  6 1 1
53.0  25  4 1 3
80.1  21  7 2 1
46.1  17  4 2 0

=====

(3)
Diffraction record for Tb3Ho2Ni2. The XRD peak list is calculated, not measured: it uses a GGA-PBE-relaxed structure and Cu Kα, 1.54184 Å.
Peak positions follow from Bragg's law for the DFT cell and can differ from measured ones.

Crystal structure
Cell: 12.1004 3.6169 8.9334 Å, 90.00 116.26 90.00°
Space group C2/m (No. 12)
Unique sites:
Tb1 0.0000 0.0000 0.0000
Tb2 0.1150 0.0000 0.4334
Ho1 0.1671 0.5000 0.8112
Ni1 0.1736 0.5000 0.2370

Top 6 peaks for 2θ from 10° to 90°, by intensity:
Position (°2θ)  Rel. int.  hkl
29.7  100  4 0 -1
35.2  90  3 1 -2
33.3  89  3 1 -1
33.2  85  2 0 2
31.9  81  1 1 -2
30.1  68  2 0 -3

=====

(4)
Diffraction record for FeCuTeAsOs. The XRD peak list is calculated, not measured: it uses a GGA-PBE-relaxed structure and Cu Kα, 1.54184 Å.
Peak positions follow from Bragg's law for the DFT cell and can differ from measured ones.

Crystal structure
Cell: 3.8461 3.8928 6.1841 Å, 90.00 90.00 90.00°
Space group Pmm2 (No. 25)
Unique sites:
Fe1 0.0000 0.0000 0.0000
Cu1 0.5000 0.0000 0.2980
Te1 0.5000 0.0000 0.7193
As1 0.0000 0.5000 0.2557
Os1 0.5000 0.5000 0.0023

Top 6 peaks for 2θ from 10° to 90°, by intensity:
Position (°2θ)  Rel. int.  hkl
44.2  100  1 1 2
14.3  69  0 0 1
35.9  63  1 1 1
27.1  36  0 1 1
23.1  33  1 0 0
46.7  23  0 2 0

=====

(5)
Diffraction record for Hg5O4. The XRD peak list is calculated, not measured: it uses a GGA-PBE-relaxed structure and Cu Kα, 1.54184 Å.
Peak positions follow from Bragg's law for the DFT cell and can differ from measured ones.

Crystal structure
Cell: 9.5934 9.5934 3.7561 Å, 90.00 90.00 90.00°
Space group I4/m (No. 87)
Unique sites:
Hg1 0.0000 0.0000 0.0000
Hg2 0.1384 0.7008 0.5000
O1 0.0102 0.7573 0.0000

Top 6 peaks for 2θ from 10° to 90°, by intensity:
Position (°2θ)  Rel. int.  hkl
31.7  100  1 2 1
29.4  57  3 1 0
53.6  39  5 0 1
57.7  20  3 1 2
42.1  18  2 4 0
45.9  15  4 1 1

=====

(6)
Diffraction record for ScPt. The XRD peak list is calculated, not measured: it uses a GGA-PBE-relaxed structure and Cu Kα, 1.54184 Å.
Peak positions follow from Bragg's law for the DFT cell and can differ from measured ones.

Crystal structure
Cell: 3.9992 10.4122 5.5479 Å, 90.00 90.00 90.00°
Space group Imm2 (No. 44)
Unique sites:
Sc1 0.0000 0.0000 0.0000
Sc2 0.0000 0.3167 0.1828
Pt1 0.0000 0.0000 0.5264
Pt2 0.0000 0.3640 0.6951

Top 6 peaks for 2θ from 10° to 90°, by intensity:
Position (°2θ)  Rel. int.  hkl
34.2  100  1 3 0
40.5  65  1 1 2
27.5  64  1 0 1
18.1  39  0 1 1
30.4  37  0 3 1
47.9  28  0 4 2

=====

(7)
Diffraction record for K5USe6. The XRD peak list is calculated, not measured: it uses a GGA-PBE-relaxed structure and Cu Kα, 1.54184 Å.
Peak positions follow from Bragg's law for the DFT cell and can differ from measured ones.

Crystal structure
Cell: 8.0643 13.8335 7.8820 Å, 90.00 110.59 90.00°
Space group C2/m (No. 12)
Unique sites:
K1 0.0000 0.0000 0.0000
K2 0.0000 0.1661 0.5000
K3 0.0000 0.3234 0.0000
U1 0.0000 0.5000 0.5000
Se1 0.2007 0.5000 0.2886
Se2 0.2100 0.3606 0.7141

Top 6 peaks for 2θ from 10° to 90°, by intensity:
Position (°2θ)  Rel. int.  hkl
27.6  100  1 3 1
13.4  58  1 1 0
27.2  50  2 0 -2
12.0  41  0 0 1
15.0  38  1 1 -1
12.8  31  0 2 0

=====

(8)
Diffraction record for SrSn5Cl12. The XRD peak list is calculated, not measured: it uses a GGA-PBE-relaxed structure and Cu Kα, 1.54184 Å.
Peak positions follow from Bragg's law for the DFT cell and can differ from measured ones.

Crystal structure
Cell: 7.4800 13.0219 12.9787 Å, 90.00 90.15 90.00°
Space group C2/m (No. 12)
Unique sites:
Sr1 0.0000 0.0000 0.0000
Sn1 0.0000 0.1667 0.5000
Sn2 0.0000 0.3333 0.0000
Sn3 0.0000 0.5000 0.5000
Cl1 0.1632 0.5000 0.1123
Cl2 0.1655 0.0000 0.3869
Cl3 0.1656 0.3333 0.3873
Cl4 0.1684 0.1685 0.1122

Top 6 peaks for 2θ from 10° to 90°, by intensity:
Position (°2θ)  Rel. int.  hkl
13.6  100  0 0 2
31.6  62  1 3 3
42.4  59  3 3 -1
24.7  49  1 3 1
27.5  36  2 0 -2
42.3  16  1 3 -5

=====

(9)
Diffraction record for Er4MgGa12. The XRD peak list is calculated, not measured: it uses a GGA-PBE-relaxed structure and Cu Kα, 1.54184 Å.
Peak positions follow from Bragg's law for the DFT cell and can differ from measured ones.

Crystal structure
Cell: 8.7060 8.7060 8.7060 Å, 90.00 90.00 90.00°
Space group Im-3m (No. 229)
Unique sites:
Er1 0.2500 0.2500 0.2500
Mg1 0.0000 0.0000 0.0000
Ga1 0.0000 0.0000 0.3095
Ga2 0.0000 0.2500 0.5000

Top 6 peaks for 2θ from 10° to 90°, by intensity:
Position (°2θ)  Rel. int.  hkl
35.7  100  2 2 2
41.5  52  4 0 0
29.0  29  2 2 0
60.1  28  4 4 0
71.9  28  6 2 2
46.7  14  4 2 0

=====

(10)
Diffraction record for LaFe9B4. The XRD peak list is calculated, not measured: it uses a GGA-PBE-relaxed structure and Cu Kα, 1.54184 Å.
Peak positions follow from Bragg's law for the DFT cell and can differ from measured ones.

Crystal structure
Cell: 7.2401 7.6010 10.8936 Å, 90.00 90.00 90.00°
Space group Ibam (No. 72)
Unique sites:
La1 0.0000 0.0000 0.2500
Fe1 0.0000 0.5000 0.0000
Fe2 0.0827 0.2085 0.0000
Fe3 0.1355 0.3666 0.1864
Fe4 0.1861 0.0664 0.5000
B1 0.1637 0.3305 0.3858

Top 6 peaks for 2θ from 10° to 90°, by intensity:
Position (°2θ)  Rel. int.  hkl
42.7  100  3 1 2
41.2  86  1 3 2
32.9  55  0 0 4
50.3  43  0 0 6
38.1  32  2 2 2
50.7  31  2 3 3

=====

(11)
Diffraction record for Ce6FeRuPb2. The XRD peak list is calculated, not measured: it uses a GGA-PBE-relaxed structure and Cu Kα, 1.54184 Å.
Peak positions follow from Bragg's law for the DFT cell and can differ from measured ones.

Crystal structure
Cell: 7.4272 7.4272 10.2700 Å, 90.00 90.00 90.00°
Space group I4/mmm (No. 139)
Unique sites:
Ce1 0.0000 0.0000 0.2374
Ce2 0.2470 0.2470 0.0000
Fe1 0.0000 0.0000 0.0000
Ru1 0.0000 0.0000 0.5000
Pb1 0.0000 0.5000 0.2500

Top 6 peaks for 2θ from 10° to 90°, by intensity:
Position (°2θ)  Rel. int.  hkl
29.7  100  2 0 2
34.1  59  2 2 0
49.7  40  2 2 4
58.4  30  4 2 2
34.9  27  0 0 4
49.1  21  4 0 0

=====

(12)
Diffraction record for BC2. The XRD peak list is calculated, not measured: it uses a GGA-PBE-relaxed structure and Cu Kα, 1.54184 Å.
Peak positions follow from Bragg's law for the DFT cell and can differ from measured ones.

Crystal structure
Cell: 3.6822 2.5466 8.1281 Å, 90.00 93.56 90.00°
Space group P2_1/m (No. 11)
Unique sites:
B1 0.1212 0.2500 0.4590
B2 0.3393 0.2500 0.6869
C1 0.1037 0.2500 0.8462
C2 0.1440 0.2500 0.1538
C3 0.3765 0.2500 0.0002
C4 0.3821 0.2500 0.3184

Top 6 peaks for 2θ from 10° to 90°, by intensity:
Position (°2θ)  Rel. int.  hkl
43.2  100  1 1 0
10.9  73  0 0 1
42.7  55  1 0 3
40.2  41  1 0 -3
74.2  24  2 1 3
70.6  23  2 1 -3

=====

(13)
Diffraction record for Li3Ac2Hg3. The XRD peak list is calculated, not measured: it uses a GGA-PBE-relaxed structure and Cu Kα, 1.54184 Å.
Peak positions follow from Bragg's law for the DFT cell and can differ from measured ones.

Crystal structure
Cell: 8.7066 8.7066 7.4994 Å, 90.00 90.00 120.00°
Space group P6_3/mcm (No. 193)
Unique sites:
Li1 0.0000 0.2543 0.2500
Ac1 0.3333 0.6667 0.0000
Hg1 0.0000 0.3647 0.7500

Top 6 peaks for 2θ from 10° to 90°, by intensity:
Position (°2θ)  Rel. int.  hkl
31.5  100  1 1 2
23.6  83  1 1 1
11.7  64  1 0 0
35.7  59  3 0 0
48.3  29  2 2 2
33.7  27  2 0 2